This entry pairs a crystal structure of Cd4NF6 with its calculated powder X-ray diffraction pattern. Radiation: Cu Ka. Structure: a cell relaxed with PBE.

a b c (Å): 7.7644 7.7644 5.3994
angles (deg): 90.00 90.00 90.00
Element x y z (fractional)
Cd 0.0042 0.2500 0.0620
Cd 0.2500 0.0042 0.5620
Cd 0.2500 0.4958 0.5620
Cd 0.4958 0.2500 0.0620
Cd 0.5042 0.7500 0.9380
Cd 0.7500 0.5042 0.4380
Cd 0.7500 0.9958 0.4380
Cd 0.9958 0.7500 0.9380
N 0.2500 0.7500 0.7500
N 0.7500 0.2500 0.2500
F 0.0432 0.5432 0.2500
F 0.0432 0.9568 0.2500
F 0.2500 0.2500 0.3375
F 0.2500 0.2500 0.8375
F 0.4568 0.5432 0.2500
F 0.4568 0.9568 0.2500
F 0.5432 0.0432 0.7500
F 0.5432 0.4568 0.7500
F 0.7500 0.7500 0.1625
F 0.7500 0.7500 0.6625
F 0.9568 0.0432 0.7500
F 0.9568 0.4568 0.7500

The 6 most intense peaks (2θ = 15–90°), in order of rising 2θ:
2theta, I/Imax, h k l
28.31, 100, 2 0 1
32.62, 23, 2 2 0
42.41, 13, 2 1 2
46.80, 20, 4 0 0
47.22, 22, 2 2 2
55.61, 28, 4 2 1